Theoretical X-ray powder pattern of Li7Fe5OF15 for Cu Kα, from the GGA+U geometry in the Materials Project.

Most intense lines, 2θ = 15–90°, in order of rising 2θ:
2θ/deg, d (Å), I_rel
17.64, 5.027, 1000
18.00, 4.928, 968
18.67, 4.752, 302
28.62, 3.119, 184
34.30, 2.614, 201
53.23, 1.721, 193

Structure:
Unit cell a=9.962 b=10.071 c=10.375 alpha=107.71 beta=107.58 gamma=110.17
Fractional positions:
Li: 0.000 0.000 0.000
Li: 0.005 0.459 0.443
Li: 0.033 0.002 0.513
Li: 0.058 0.486 0.978
Li: 0.163 0.387 0.216
Li: 0.257 0.853 0.080
Li: 0.405 0.141 0.717
Li: 0.486 0.978 0.937
Li: 0.499 0.523 0.447
Li: 0.525 0.053 0.482
Li: 0.563 0.482 0.949
Li: 0.653 0.744 0.854
Li: 0.775 0.627 0.360
Li: 0.891 0.245 0.574
Fe: 0.149 0.918 0.740
Fe: 0.159 0.262 0.824
Fe: 0.252 0.103 0.322
Fe: 0.264 0.614 0.833
Fe: 0.400 0.750 0.607
Fe: 0.609 0.228 0.300
Fe: 0.756 0.867 0.597
Fe: 0.762 0.366 0.110
Fe: 0.860 0.133 0.197
Fe: 0.903 0.737 0.113
O: 0.208 0.112 0.722
O: 0.662 0.156 0.129
F: 0.025 0.943 0.315
F: 0.045 0.406 0.771
F: 0.088 0.888 0.084
F: 0.107 0.178 0.210
F: 0.115 0.330 0.007
F: 0.182 0.620 0.628
F: 0.251 0.663 0.030
F: 0.260 0.874 0.907
F: 0.314 0.553 0.415
F: 0.359 0.468 0.868
F: 0.376 0.118 0.520
F: 0.384 0.943 0.724
F: 0.410 0.015 0.268
F: 0.447 0.306 0.340
F: 0.478 0.775 0.852
F: 0.563 0.916 0.565
F: 0.579 0.294 0.912
F: 0.603 0.703 0.655
F: 0.623 0.667 0.399
F: 0.695 0.232 0.506
F: 0.714 0.611 0.907
F: 0.734 0.587 0.162
F: 0.801 0.456 0.368
F: 0.814 0.933 0.031
F: 0.895 0.068 0.591
F: 0.941 0.541 0.077
F: 0.952 0.933 0.796
F: 0.956 0.802 0.525
F: 0.964 0.254 0.430
F: 0.979 0.379 0.238

Theoretical X-ray powder pattern of Li3Fe4O3F9 for Cu Kα, from the GGA+U geometry in the Materials Project.

Most intense lines, 2θ = 15–90°, in order of rising 2θ:
2θ/deg, d (Å), I_rel
15.24, 5.815, 864
19.49, 4.554, 504
24.75, 3.597, 587
31.55, 2.836, 492
31.76, 2.818, 1000
53.01, 1.727, 475

Structure:
Unit cell a=5.990 b=5.999 c=6.031 alpha=98.70 beta=99.10 gamma=98.85
Fractional positions:
Li: 0.000 0.000 0.000
Li: 0.084 0.265 0.538
Li: 0.248 0.504 0.047
Fe: 0.389 0.861 0.667
Fe: 0.534 0.208 0.282
Fe: 0.710 0.426 0.787
Fe: 0.781 0.685 0.306
O: 0.496 0.158 0.601
O: 0.587 0.433 0.069
O: 0.795 0.446 0.483
F: 0.064 0.889 0.537
F: 0.215 0.269 0.260
F: 0.275 0.554 0.718
F: 0.345 0.979 0.980
F: 0.455 0.733 0.361
F: 0.694 0.779 0.784
F: 0.770 0.009 0.231
F: 0.962 0.255 0.844
F: 0.997 0.676 0.088

Theoretical X-ray powder pattern of Li3FeOF3 for Cu Kα, from the GGA+U geometry in the Materials Project.

Most intense lines, 2θ = 15–90°, in order of rising 2θ:
2θ/deg, d (Å), I_rel
18.12, 4.895, 1000
20.57, 4.317, 370
30.05, 2.974, 362
35.29, 2.543, 392
41.85, 2.158, 446
43.01, 2.103, 804

Structure:
Unit cell a=6.021 b=6.021 c=5.943 alpha=119.43 beta=119.43 gamma=59.26
Fractional positions:
Li: 0.000 0.000 0.000
Li: 0.000 0.000 0.500
Li: 0.000 0.500 0.000
Li: 0.500 0.000 0.000
Li: 0.500 0.500 0.000
Li: 0.500 0.500 0.500
Fe: 0.000 0.500 0.500
Fe: 0.500 0.000 0.500
O: 0.249 0.249 0.280
O: 0.751 0.751 0.720
F: 0.240 0.742 0.243
F: 0.255 0.255 0.782
F: 0.258 0.760 0.757
F: 0.742 0.240 0.243
F: 0.745 0.745 0.218
F: 0.760 0.258 0.757

Theoretical X-ray powder pattern of LiFe8O14F2 for Cu Kα, from the GGA+U geometry in the Materials Project.

Most intense lines, 2θ = 15–90°, in order of rising 2θ:
2θ/deg, d (Å), I_rel
26.30, 3.389, 987
26.75, 3.333, 1000
35.65, 2.519, 442
35.89, 2.502, 517
53.04, 1.727, 415
53.58, 1.710, 298

Structure:
Unit cell a=5.547 b=7.294 c=7.402 alpha=81.78 beta=70.53 gamma=71.29
Fractional positions:
Li: 0.000 0.000 0.000
Fe: 0.213 0.632 0.651
Fe: 0.227 0.146 0.611
Fe: 0.232 0.619 0.148
Fe: 0.269 0.130 0.154
Fe: 0.704 0.891 0.858
Fe: 0.707 0.400 0.872
Fe: 0.730 0.370 0.378
Fe: 0.756 0.884 0.386
O: 0.060 0.910 0.732
O: 0.089 0.712 0.407
O: 0.091 0.389 0.223
O: 0.350 0.559 0.881
O: 0.370 0.882 0.041
O: 0.378 0.369 0.552
O: 0.417 0.036 0.360
O: 0.575 0.465 0.153
O: 0.575 0.974 0.639
O: 0.602 0.144 0.964
O: 0.850 0.627 0.801
O: 0.875 0.303 0.611
O: 0.891 0.783 0.138
O: 0.915 0.106 0.277
F: 0.083 0.230 0.893
F: 0.582 0.650 0.477